This entry pairs a crystal structure of Bi2Te4Pb with its calculated XRD peak list. Radiation: Cu Kα (λ = 1.5418 Å). Structure: a GGA-PBE-relaxed structure.

Atomic structure:
```
data_Bi2Te4Pb
_chemical_formula_sum 'Bi6 Te12 Pb3'
_cell_length_a 4.4854
_cell_length_b 4.4854
_cell_length_c 42.5828
_cell_angle_alpha 90.00
_cell_angle_beta 90.00
_cell_angle_gamma 120.00
_symmetry_space_group_name_H-M 'R 3 m'
_symmetry_Int_Tables_number 160
_symmetry_space_group_name_Hall 'R 3 -2"'
loop_
_atom_site_label
_atom_site_fract_x
_atom_site_fract_y
_atom_site_fract_z
_atom_site_occupancy
Bi1 0.0000 0.0000 0.0000 1
Bi2 0.0000 0.0000 0.4290 1
Te1 0.0000 0.0000 0.1353 1
Te2 0.0000 0.0000 0.2923 1
Te3 0.0000 0.0000 0.7121 1
Te4 0.0000 0.0000 0.8639 1
Pb1 0.0000 0.0000 0.5695 1
```

Top 8 peaks for 5 to 70 degrees two-theta, low angle first:
2theta, intensity, h k l
27.2, 100, 1 0 7
37.6, 39, 0 1 14
40.2, 37, 1 1 0
44.7, 12, 0 0 21
49.2, 20, 0 2 7
56.2, 12, 2 0 14
61.7, 16, 1 1 21
65.4, 17, 2 1 7


This entry pairs a crystal structure of K2TiSi6O15 with its calculated XRD peak list. Radiation: Cu Kα (λ = 1.5418 Å). Structure: a GGA-PBE-relaxed structure.

Atomic structure:
```
data_K2TiSi6O15
_chemical_formula_sum 'K2 Ti1 Si6 O15'
_cell_length_a 7.030
_cell_length_b 7.341
_cell_length_c 7.608
_cell_angle_alpha 99.12
_cell_angle_beta 105.95
_cell_angle_gamma 112.67
_symmetry_space_group_name_H-M 'P -1'
_symmetry_Int_Tables_number 2
loop_
_symmetry_equiv_pos_as_xyz
'x,y,z'
'-x,-y,-z'
loop_
_atom_site_label
_atom_site_fract_x
_atom_site_fract_y
_atom_site_fract_z
_atom_site_occupancy
K1 0.214 0.286 0.179 1
Ti1 0.500 0.000 0.000 1
Si1 0.183 0.502 0.688 1
Si2 0.200 0.814 0.258 1
Si3 0.353 0.168 0.631 1
O1 0.000 0.500 0.500 1
O2 0.046 0.387 0.817 1
O3 0.202 0.990 0.422 1
O4 0.240 0.902 0.083 1
O5 0.293 0.360 0.610 1
O6 0.329 0.088 0.811 1
O7 0.378 0.727 0.814 1
O8 0.384 0.736 0.352 1
```

Top 8 peaks for 5 to 70 degrees two-theta, low angle first:
2theta, intensity, h k l
21.3, 56, 0 1 1
24.3, 53, 1 1 0
25.1, 98, 0 1 -2
26.2, 51, -2 1 1
27.5, 61, 1 1 -2
29.1, 100, -1 2 1
29.6, 36, 2 0 0
33.8, 66, 2 -2 1


This entry pairs a crystal structure of BaNiS2 with its calculated XRD peak list. Radiation: Cu Kα (λ = 1.5418 Å). Structure: a GGA-PBE-relaxed structure.

Atomic structure:
```
data_BaNiS2
_chemical_formula_sum 'Ba2 Ni2 S4'
_cell_length_a 4.421
_cell_length_b 4.421
_cell_length_c 8.973
_cell_angle_alpha 90.00
_cell_angle_beta 90.00
_cell_angle_gamma 90.00
_symmetry_space_group_name_H-M 'P 4/n m m'
_symmetry_Int_Tables_number 129
loop_
_symmetry_equiv_pos_as_xyz
'x,y,z'
'-x,-y,-z'
'-y+1/2,x,z'
'y+1/2,-x,-z'
'-x+1/2,-y+1/2,z'
'x+1/2,y+1/2,-z'
'y,-x+1/2,z'
'-y,x+1/2,-z'
'x+1/2,-y,-z'
'-x+1/2,y,z'
'-y,-x,-z'
'y,x,z'
'-x,y+1/2,-z'
'x,-y+1/2,z'
'y+1/2,x+1/2,-z'
'-y+1/2,-x+1/2,z'
loop_
_atom_site_label
_atom_site_fract_x
_atom_site_fract_y
_atom_site_fract_z
_atom_site_occupancy
Ba1 0.250 0.250 0.198 1
Ni1 0.250 0.250 0.585 1
S1 0.250 0.250 0.842 1
S2 0.250 0.750 0.500 1
```

Top 8 peaks for 5 to 70 degrees two-theta, low angle first:
2theta, intensity, h k l
22.4, 35, 1 0 1
28.3, 59, 1 0 2
28.6, 100, 1 1 0
29.9, 35, 0 0 3
35.0, 42, 1 1 2
36.3, 56, 1 0 3
40.8, 66, 2 0 0
59.4, 32, 1 1 5


This entry pairs a crystal structure of Dy5BiPd2 with its calculated XRD peak list. Radiation: Cu Kα (λ = 1.5418 Å). Structure: a GGA-PBE-relaxed structure.

Atomic structure:
```
data_Dy5BiPd2
_chemical_formula_sum 'Dy20 Bi4 Pd8'
_cell_length_a 7.842
_cell_length_b 7.842
_cell_length_c 13.673
_cell_angle_alpha 90.00
_cell_angle_beta 90.00
_cell_angle_gamma 90.00
_symmetry_space_group_name_H-M 'I 4/m c m'
_symmetry_Int_Tables_number 140
_symmetry_space_group_name_Hall '-I 4 2c'
loop_
_atom_site_label
_atom_site_fract_x
_atom_site_fract_y
_atom_site_fract_z
_atom_site_occupancy
Dy1 0.000 0.000 0.000 1
Dy2 0.155 0.345 0.140 1
Bi1 0.000 0.000 0.250 1
Pd1 0.137 0.363 0.500 1
```

Top 8 peaks for 5 to 70 degrees two-theta, low angle first:
2theta, intensity, h k l
30.7, 30, 1 1 4
32.2, 100, 2 1 3
34.8, 31, 2 0 4
36.2, 63, 3 1 0
41.9, 17, 2 1 5
52.1, 19, 4 2 0
66.4, 17, 3 1 8
67.5, 21, 4 4 0


This entry pairs a crystal structure of Cs2CuBiCl6 with its calculated XRD peak list. Radiation: Cu Kα (λ = 1.5418 Å). Structure: a GGA-PBE-relaxed structure.

Atomic structure:
```
data_Cs2CuBiCl6
_chemical_formula_sum 'Cs8 Cu4 Bi4 Cl24'
_cell_length_a 10.630
_cell_length_b 10.630
_cell_length_c 10.630
_cell_angle_alpha 90.00
_cell_angle_beta 90.00
_cell_angle_gamma 90.00
_symmetry_space_group_name_H-M 'F m -3 m'
_symmetry_Int_Tables_number 225
_symmetry_space_group_name_Hall '-F 4 2 3'
loop_
_atom_site_label
_atom_site_fract_x
_atom_site_fract_y
_atom_site_fract_z
_atom_site_occupancy
Cs1 0.250 0.250 0.250 1
Cu1 0.000 0.000 0.000 1
Bi1 0.000 0.000 0.500 1
Cl1 0.000 0.000 0.241 1
```

Top 8 peaks for 5 to 70 degrees two-theta, low angle first:
2theta, intensity, h k l
14.4, 14, 1 1 1
23.7, 100, 2 2 0
33.7, 54, 4 0 0
41.6, 46, 4 2 2
48.4, 37, 4 4 0
54.6, 22, 6 2 0
60.3, 12, 4 4 4
65.7, 25, 6 4 2


This entry pairs a crystal structure of Ba2YSn3O8 with its calculated XRD peak list. Radiation: Cu Kα (λ = 1.5418 Å). Structure: a GGA-PBE-relaxed structure.

Atomic structure:
```
data_Ba2YSn3O8
_chemical_formula_sum 'Ba2 Y1 Sn3 O8'
_cell_length_a 4.304
_cell_length_b 4.304
_cell_length_c 11.727
_cell_angle_alpha 90.00
_cell_angle_beta 90.00
_cell_angle_gamma 90.00
_symmetry_space_group_name_H-M 'P 4/m m m'
_symmetry_Int_Tables_number 123
_symmetry_space_group_name_Hall '-P 4 2'
loop_
_atom_site_label
_atom_site_fract_x
_atom_site_fract_y
_atom_site_fract_z
_atom_site_occupancy
Ba1 0.000 0.000 0.170 1
Y1 0.000 0.000 0.500 1
Sn1 0.500 0.500 0.000 1
Sn2 0.500 0.500 0.366 1
O1 0.000 0.500 0.000 1
O2 0.000 0.500 0.374 1
O3 0.500 0.500 0.186 1
```

Top 8 peaks for 5 to 70 degrees two-theta, low angle first:
2theta, intensity, h k l
29.3, 58, 1 1 0
30.9, 100, 1 0 3
42.0, 38, 2 0 0
53.0, 45, 2 1 3
55.9, 14, 1 1 6
60.9, 12, 2 2 0
64.4, 11, 2 0 6
69.0, 11, 3 1 0


This entry pairs a crystal structure of Cu3As2H2PbO10 with its calculated XRD peak list. Radiation: Cu Kα (λ = 1.5418 Å). Structure: a GGA-PBE-relaxed structure.

Atomic structure:
```
data_Cu3As2H2PbO10
_chemical_formula_sum 'Cu12 As8 H8 Pb4 O40'
_cell_length_a 10.286
_cell_length_b 6.016
_cell_length_c 14.195
_cell_angle_alpha 90.00
_cell_angle_beta 106.16
_cell_angle_gamma 90.00
_symmetry_space_group_name_H-M 'C 1 2/c 1'
_symmetry_Int_Tables_number 15
loop_
_symmetry_equiv_pos_as_xyz
'x,y,z'
'-x,-y,-z'
'-x,y,-z+1/2'
'x,-y,z+1/2'
'x+1/2,y+1/2,z'
'-x+1/2,-y+1/2,-z'
'-x+1/2,y+1/2,-z+1/2'
'x+1/2,-y+1/2,z+1/2'
loop_
_atom_site_label
_atom_site_fract_x
_atom_site_fract_y
_atom_site_fract_z
_atom_site_occupancy
Cu1 0.000 0.000 0.000 1
Cu2 0.000 0.500 0.000 1
Cu3 0.250 0.250 0.000 1
As1 0.200 0.209 0.359 1
H1 0.131 0.222 0.141 1
Pb1 0.000 0.239 0.750 1
O1 0.106 0.246 0.065 1
O2 0.122 0.290 0.596 1
O3 0.135 0.457 0.377 1
O4 0.136 0.012 0.917 1
O5 0.154 0.113 0.240 1
```

Top 8 peaks for 5 to 70 degrees two-theta, low angle first:
2theta, intensity, h k l
19.3, 38, 1 1 1
27.3, 55, 2 0 -4
28.0, 100, 1 1 3
30.0, 45, 3 1 -1
33.2, 38, 3 1 1
34.9, 41, 1 1 -5
35.5, 37, 2 2 -2
39.2, 38, 2 2 2


This entry pairs a crystal structure of GaSi2Ni6 with its calculated XRD peak list. Radiation: Cu Kα (λ = 1.5418 Å). Structure: a GGA-PBE-relaxed structure.

Atomic structure:
```
data_GaSi2Ni6
_chemical_formula_sum 'Ga4 Si8 Ni24'
_cell_length_a 5.011
_cell_length_b 3.751
_cell_length_c 21.491
_cell_angle_alpha 90.00
_cell_angle_beta 90.54
_cell_angle_gamma 90.00
_symmetry_space_group_name_H-M 'P 1 m 1'
_symmetry_Int_Tables_number 6
loop_
_symmetry_equiv_pos_as_xyz
'x,y,z'
'x,-y,z'
loop_
_atom_site_label
_atom_site_fract_x
_atom_site_fract_y
_atom_site_fract_z
_atom_site_occupancy
Ga1 0.000 0.000 0.000 1
Ga2 0.000 0.000 0.332 1
Ga3 0.005 0.000 0.667 1
Ga4 0.505 0.000 0.575 1
Si1 0.403 0.500 0.742 1
Si2 0.404 0.500 0.074 1
Si3 0.405 0.500 0.406 1
Si4 0.496 0.000 0.242 1
Si5 0.496 0.000 0.910 1
Si6 0.902 0.500 0.501 1
Si7 0.917 0.500 0.166 1
Si8 0.917 0.500 0.834 1
Ni1 0.032 0.000 0.554 1
Ni2 0.041 0.000 0.222 1
Ni3 0.042 0.000 0.890 1
Ni4 0.162 0.000 0.441 1
Ni5 0.163 0.000 0.776 1
Ni6 0.164 0.000 0.108 1
Ni7 0.264 0.500 0.298 1
Ni8 0.265 0.500 0.966 1
Ni9 0.271 0.500 0.633 1
Ni10 0.365 0.500 0.512 1
Ni11 0.377 0.500 0.850 1
Ni12 0.378 0.500 0.182 1
Ni13 0.528 0.000 0.019 1
Ni14 0.529 0.000 0.350 1
Ni15 0.532 0.000 0.688 1
Ni16 0.662 0.000 0.805 1
Ni17 0.663 0.000 0.136 1
Ni18 0.663 0.000 0.465 1
Ni19 0.753 0.500 0.270 1
Ni20 0.754 0.500 0.938 1
Ni21 0.770 0.500 0.608 1
Ni22 0.861 0.500 0.061 1
Ni23 0.862 0.500 0.729 1
Ni24 0.864 0.500 0.394 1
```

Top 8 peaks for 5 to 70 degrees two-theta, low angle first:
2theta, intensity, h k l
39.0, 16, 1 1 -6
43.4, 76, 2 1 0
44.3, 17, 2 0 6
45.0, 100, 0 1 9
45.2, 38, 2 1 -3
45.4, 34, 2 1 3
48.5, 73, 0 2 0
52.7, 17, 2 0 -9